La6YTm8: theoretical X-ray powder pattern (copper Kα), based on a structure optimized by DFT (PBE).

Structural model:
```
data_La6YTm8
_chemical_formula_sum 'La6 Y1 Tm8'
_cell_length_a 8.808
_cell_length_b 8.808
_cell_length_c 8.808
_cell_angle_alpha 61.65
_cell_angle_beta 61.65
_cell_angle_gamma 61.65
_space_group_name_H-M_alt 'P 1'
_space_group_IT_number 1
loop_
_space_group_symop_operation_xyz
'x,y,z'
loop_
_atom_site_label
_atom_site_fract_x
_atom_site_fract_y
_atom_site_fract_z
La1 0.033 0.733 0.590
La2 0.267 0.410 0.967
La3 0.410 0.967 0.267
La4 0.590 0.033 0.733
La5 0.733 0.590 0.033
La6 0.967 0.267 0.410
Y1 0.500 0.500 0.500
Tm1 0.077 0.077 0.077
Tm2 0.203 0.266 0.614
Tm3 0.266 0.614 0.203
Tm4 0.386 0.797 0.734
Tm5 0.614 0.203 0.266
Tm6 0.734 0.386 0.797
Tm7 0.797 0.734 0.386
Tm8 0.923 0.923 0.923
```

The 10 most intense peaks (10° ≤ 2θ ≤ 90°), low angle first:
Position (°2θ), I/Imax
30.5, 71.5
31.1, 83.1
31.4, 100.0
31.6, 59.4
32.1, 29.2
36.7, 26.4
52.2, 15.9
53.9, 17.1
55.4, 21.4
59.9, 18.9